Starting from a cell relaxed with PBE+U, the powder X-ray diffraction pattern of NaNiBO3 was calculated for Cu Kα (weighted mean of Kα1 and Kα2).
Neutral-atom scattering factors, no anomalous dispersion.

Cell and atoms:
Cell lengths 5.023, 8.825, 5.581 Å; angles 90.00, 101.45, 90.00 degrees
Space group C2/c (No. 15)
Symmetry-distinct sites (fractional):
Na: 0.000 0.164 0.250
Ni: 0.000 0.500 0.000
B: 0.000 0.169 0.750
O: 0.000 0.326 0.750
O: 0.222 0.091 0.699

Top 10 peaks for 10 to 90 degrees two-theta, in order of falling intensity:
2theta  d_spacing  Rel. int.
20.66  4.299  100
35.55  2.525  64
20.12  4.413  58
42.11  2.146  55
38.73  2.325  47
49.16  1.853  37
35.72  2.513  36
36.50  2.461  31
53.35  1.717  29
44.29  2.045  19